For AuSeBr7, a DFT-relaxed cell (GGA-PBE, OQMD) gives the computed powder diffraction line list in this record (Cu Kα X-rays).

Most intense lines, 2θ from 5° to 70°, by angle:
- 13.96 deg, rel. 32
- 15.06 deg, rel. 36
- 17.34 deg, rel. 50
- 19.10 deg, rel. 100
- 29.73 deg, rel. 47
- 30.88 deg, rel. 36
- 31.10 deg, rel. 38
- 37.81 deg, rel. 32

a = 6.675 Å, b = 6.825 Å, c = 16.255 Å
α = 90.00°, β = 108.18°, γ = 90.00°
Space group Pc (No. 7)
Asymmetric unit:
Au (0.000, 0.016, 0.000) [2 per cell]
Se (0.288, 0.436, 0.175) [2 per cell]
Br (0.010, 0.087, 0.150) [2 per cell]
Br (0.197, 0.429, 0.794) [2 per cell]
Br (0.275, 0.266, 0.006) [2 per cell]
Br (0.485, 0.303, 0.638) [2 per cell]
Br (0.586, 0.245, 0.257) [2 per cell]
Br (0.746, 0.244, 0.498) [2 per cell]
Br (0.969, 0.038, 0.347) [2 per cell]